# 1
This entry pairs a crystal structure of Er3CrS6 with its computed X-ray diffraction stick pattern. Radiation: Cu Kα, 1.54184 Å. Structure: a crystal structure in the Materials Project, relaxed with GGA-PBE.
Intensities are scaled so that the largest is 100.

Crystal structure
Unit cell a=13.217 b=15.858 c=3.743 alpha=90.00 beta=90.00 gamma=90.00
Space group Pnnm (No. 58)
One atom of each set of equivalent atoms:
Er1 0.050 0.222 0.000 (multiplicity 4)
Er2 0.181 0.647 0.000 (multiplicity 4)
Er3 0.243 0.901 0.500 (multiplicity 4)
Cr1 0.000 0.000 0.500 (multiplicity 2)
Cr2 0.000 0.500 0.500 (multiplicity 2)
S1 0.022 0.402 0.000 (multiplicity 4)
S2 0.082 0.924 0.000 (multiplicity 4)
S3 0.104 0.753 0.500 (multiplicity 4)
S4 0.120 0.109 0.500 (multiplicity 4)
S5 0.181 0.520 0.500 (multiplicity 4)
S6 0.189 0.290 0.500 (multiplicity 4)

Peak list (12 most intense, 2θ from 10° to 90°, low angle first)
- 23.4°, 3.797 Å, intensity 31
- 26.2°, 3.400 Å, intensity 73
- 27.2°, 3.279 Å, intensity 40
- 27.6°, 3.235 Å, intensity 41
- 28.0°, 3.191 Å, intensity 40
- 32.3°, 2.773 Å, intensity 36
- 35.7°, 2.512 Å, intensity 100
- 37.2°, 2.420 Å, intensity 47
- 42.2°, 2.140 Å, intensity 50
- 46.9°, 1.939 Å, intensity 33
- 48.6°, 1.872 Å, intensity 37
- 50.5°, 1.808 Å, intensity 35

=====

# 2
This entry pairs a crystal structure of MnCoSi with its computed X-ray diffraction stick pattern. Radiation: Cu Kα, 1.54184 Å. Structure: a crystal structure in the Materials Project, relaxed with GGA-PBE.
Intensities are scaled so that the largest is 100.

Crystal structure
Unit cell a=5.728 b=3.660 c=6.868 alpha=90.00 beta=90.00 gamma=90.00
Space group Pnma (No. 62)
One atom of each set of equivalent atoms:
Mn1 0.027 0.250 0.184 (multiplicity 4)
Co1 0.158 0.250 0.560 (multiplicity 4)
Si1 0.233 0.750 0.377 (multiplicity 4)

Peak list (12 most intense, 2θ from 10° to 90°, low angle first)
- 31.8°, 2.814 Å, intensity 22
- 39.3°, 2.295 Å, intensity 94
- 40.0°, 2.256 Å, intensity 49
- 41.0°, 2.199 Å, intensity 27
- 42.2°, 2.143 Å, intensity 100
- 42.5°, 2.126 Å, intensity 35
- 46.8°, 1.941 Å, intensity 55
- 49.6°, 1.839 Å, intensity 62
- 49.8°, 1.830 Å, intensity 54
- 67.5°, 1.387 Å, intensity 15
- 72.9°, 1.297 Å, intensity 20
- 79.5°, 1.205 Å, intensity 27

=====

# 3
This entry pairs a crystal structure of KTbPrSbO6 with its computed X-ray diffraction stick pattern. Radiation: Cu Kα, 1.54184 Å. Structure: a crystal structure in the Materials Project, relaxed with GGA-PBE.
Intensities are scaled so that the largest is 100.

Crystal structure
Unit cell a=8.380 b=8.380 c=8.380 alpha=90.00 beta=90.00 gamma=90.00
Space group F-43m (No. 216)
One atom of each set of equivalent atoms:
K1 0.000 0.000 0.000 (multiplicity 4)
Tb1 0.250 0.250 0.750 (multiplicity 4)
Pr1 0.000 0.000 0.500 (multiplicity 4)
Sb1 0.250 0.250 0.250 (multiplicity 4)
O1 0.013 0.250 0.250 (multiplicity 24)

Peak list (12 most intense, 2θ from 10° to 90°, low angle first)
- 18.3°, 4.838 Å, intensity 13
- 21.2°, 4.190 Å, intensity 11
- 30.2°, 2.963 Å, intensity 100
- 35.5°, 2.527 Å, intensity 8
- 43.2°, 2.095 Å, intensity 31
- 47.3°, 1.922 Å, intensity 4
- 48.6°, 1.874 Å, intensity 5
- 53.6°, 1.711 Å, intensity 40
- 62.7°, 1.481 Å, intensity 19
- 71.2°, 1.325 Å, intensity 17
- 79.2°, 1.210 Å, intensity 6
- 87.0°, 1.120 Å, intensity 21

=====

# 4
This entry pairs a crystal structure of Ba4Y2Cu6O13 with its computed X-ray diffraction stick pattern. Radiation: Cu Kα, 1.54184 Å. Structure: a crystal structure in the Materials Project, relaxed with GGA-PBE.
Intensities are scaled so that the largest is 100.

Crystal structure
Unit cell a=7.703 b=7.884 c=24.079 alpha=90.00 beta=90.00 gamma=90.00
Space group Fmmm (No. 69)
One atom of each set of equivalent atoms:
Ba1 0.243 0.000 0.095 (multiplicity 16)
Y1 0.250 0.000 0.250 (multiplicity 8)
Cu1 0.000 0.241 0.000 (multiplicity 8)
Cu2 0.000 0.249 0.318 (multiplicity 16)
O1 0.000 0.000 0.000 (multiplicity 4)
O2 0.000 0.000 0.189 (multiplicity 8)
O3 0.000 0.000 0.310 (multiplicity 8)
O4 0.000 0.229 0.425 (multiplicity 16)
O5 0.250 0.250 0.190 (multiplicity 16)

Peak list (12 most intense, 2θ from 10° to 90°, low angle first)
- 31.8°, 2.812 Å, intensity 89
- 32.2°, 2.779 Å, intensity 92
- 32.5°, 2.755 Å, intensity 100
- 37.3°, 2.408 Å, intensity 16
- 39.7°, 2.271 Å, intensity 21
- 46.0°, 1.971 Å, intensity 30
- 47.2°, 1.926 Å, intensity 28
- 56.8°, 1.622 Å, intensity 25
- 57.3°, 1.608 Å, intensity 35
- 58.0°, 1.589 Å, intensity 31
- 66.5°, 1.406 Å, intensity 13
- 68.1°, 1.377 Å, intensity 17

=====

# 5
This entry pairs a crystal structure of H4PbC2O6 with its computed X-ray diffraction stick pattern. Radiation: Cu Kα, 1.54184 Å. Structure: a crystal structure in the Materials Project, relaxed with GGA-PBE.
Intensities are scaled so that the largest is 100.

Crystal structure
Unit cell a=9.338 b=7.850 c=8.177 alpha=90.00 beta=90.00 gamma=90.00
Space group Pnma (No. 62)
One atom of each set of equivalent atoms:
H1 0.086 0.151 0.187 (multiplicity 8)
H2 0.179 0.651 0.948 (multiplicity 8)
Pb1 0.105 0.750 0.522 (multiplicity 4)
C1 0.143 0.151 0.760 (multiplicity 8)
O1 0.062 0.076 0.659 (multiplicity 8)
O2 0.132 0.750 0.999 (multiplicity 4)
O3 0.137 0.250 0.232 (multiplicity 4)
O4 0.223 0.076 0.863 (multiplicity 8)

Peak list (12 most intense, 2θ from 10° to 90°, low angle first)
- 14.4°, 6.152 Å, intensity 100
- 18.3°, 4.842 Å, intensity 67
- 22.2°, 4.013 Å, intensity 40
- 22.7°, 3.925 Å, intensity 32
- 26.9°, 3.309 Å, intensity 37
- 31.2°, 2.864 Å, intensity 84
- 31.6°, 2.831 Å, intensity 26
- 32.8°, 2.728 Å, intensity 31
- 39.5°, 2.283 Å, intensity 20
- 45.5°, 1.993 Å, intensity 21
- 46.7°, 1.945 Å, intensity 20
- 50.1°, 1.821 Å, intensity 19

=====

# 6
This entry pairs a crystal structure of YMg14Mn with its computed X-ray diffraction stick pattern. Radiation: Cu Kα, 1.54184 Å. Structure: a crystal structure in the Materials Project, relaxed with GGA-PBE.
Intensities are scaled so that the largest is 100.

Crystal structure
Unit cell a=10.279 b=6.364 c=11.227 alpha=90.00 beta=90.00 gamma=90.00
Space group Amm2 (No. 38)
One atom of each set of equivalent atoms:
Y1 0.000 0.000 0.000 (multiplicity 2)
Mg1 0.000 0.241 0.251 (multiplicity 4)
Mg2 0.239 0.000 0.659 (multiplicity 4)
Mg3 0.251 0.244 0.414 (multiplicity 8)
Mg4 0.257 0.000 0.164 (multiplicity 4)
Mg5 0.500 0.000 0.497 (multiplicity 2)
Mg6 0.500 0.000 0.997 (multiplicity 2)
Mg7 0.500 0.248 0.747 (multiplicity 4)
Mn1 0.000 0.000 0.489 (multiplicity 2)

Peak list (12 most intense, 2θ from 10° to 90°, low angle first)
- 18.0°, 4.927 Å, intensity 15
- 31.9°, 2.807 Å, intensity 13
- 32.3°, 2.768 Å, intensity 27
- 34.9°, 2.570 Å, intensity 39
- 36.5°, 2.463 Å, intensity 53
- 36.9°, 2.437 Å, intensity 100
- 48.3°, 1.883 Å, intensity 17
- 57.1°, 1.613 Å, intensity 17
- 63.9°, 1.457 Å, intensity 18
- 68.7°, 1.366 Å, intensity 19
- 69.5°, 1.353 Å, intensity 16
- 70.5°, 1.336 Å, intensity 14